1.
Computed powder diffraction line list
Compound: Ta2Br8F
Radiation: Cu Kα (weighted mean of Kα1 and Kα2)
Structure: a PBE-relaxed structure
Peak positions follow from Bragg's law for the DFT cell and can differ from measured ones.

Structure:
```
Ta2Br8F
1.0
4.630 -6.264 0.000
4.630 6.264 0.000
-1.266 0.000 7.051
Ta Br F
2 8 1
Direct
0.089 0.089 0.292 Ta
0.911 0.911 0.708 Ta
0.138 0.746 0.728 Br
0.197 0.197 0.646 Br
0.254 0.862 0.272 Br
0.335 0.335 0.206 Br
0.665 0.665 0.794 Br
0.746 0.138 0.728 Br
0.803 0.803 0.354 Br
0.862 0.254 0.272 Br
0.000 0.000 0.000 F
```

Largest 8 diffraction maxima, sorted by position, 2θ = 5–70°:
2θ 12.01, intensity 1000
2θ 14.14, intensity 457
2θ 18.62, intensity 316
2θ 25.26, intensity 367
2θ 28.50, intensity 259
2θ 30.75, intensity 317
2θ 41.99, intensity 181
2θ 47.34, intensity 150

=====

2.
Computed powder diffraction line list
Compound: Tc2BrF7
Radiation: Cu Kα (weighted mean of Kα1 and Kα2)
Structure: a PBE-relaxed structure
Peak positions follow from Bragg's law for the DFT cell and can differ from measured ones.

Structure:
```
Tc2BrF7
1.0
-2.018 4.579 5.836
2.018 -4.579 5.836
2.018 4.579 -5.836
Tc Br F
2 1 7
Direct
0.223 0.000 0.223 Tc
0.777 0.000 0.777 Tc
0.500 0.000 0.500 Br
0.000 0.000 0.000 F
0.056 0.839 0.217 F
0.217 0.500 0.717 F
0.379 0.161 0.217 F
0.621 0.839 0.783 F
0.783 0.500 0.283 F
0.944 0.161 0.783 F
```

Largest 8 diffraction maxima, sorted by position, 2θ = 5–70°:
2θ 15.18, intensity 1000
2θ 19.39, intensity 242
2θ 23.32, intensity 712
2θ 30.26, intensity 168
2θ 30.64, intensity 163
2θ 39.36, intensity 114
2θ 44.89, intensity 217
2θ 46.25, intensity 157

=====

3.
Computed powder diffraction line list
Compound: TeBrF3
Radiation: Cu Kα (weighted mean of Kα1 and Kα2)
Structure: a PBE-relaxed structure
Peak positions follow from Bragg's law for the DFT cell and can differ from measured ones.

Structure:
```
TeBrF3
1.0
7.438 0.000 0.000
0.000 5.405 0.000
0.000 0.000 5.545
Te Br F
2 2 6
Direct
0.000 0.023 0.000 Te
0.500 0.977 0.500 Te
0.000 0.630 0.268 Br
0.500 0.370 0.768 Br
0.000 0.243 0.721 F
0.193 0.869 0.828 F
0.307 0.131 0.328 F
0.500 0.757 0.221 F
0.693 0.131 0.328 F
0.807 0.869 0.828 F
```

Largest 8 diffraction maxima, sorted by position, 2θ = 5–70°:
2θ 16.40, intensity 309
2θ 19.97, intensity 691
2θ 23.93, intensity 531
2θ 25.95, intensity 1000
2θ 33.41, intensity 251
2θ 36.42, intensity 240
2θ 39.00, intensity 230
2θ 44.05, intensity 384